Entry 1:
Starting from DFT lattice parameters and positions (GGA-PBE), the X-ray powder pattern of TbTmNpO6 was calculated for Cu Kα (λ = 1.5418 Å).
Lines closer than 0.1° are merged.

Lattice parameters (Å, degrees): 5.6857 5.6857 9.4994 90.00 90.00 120.00
Space group P-31c (No. 163)
Symmetry-distinct sites (fractional):
Tb 0.0000 0.0000 0.0000 x2
Tm 0.3333 0.6667 0.2500 x2
Np 0.3333 0.6667 0.7500 x2
O 0.0208 0.3566 0.6347 x12

Largest 10 diffraction maxima, by angle, 2θ from 10° to 80°:
2theta	d/Å	I_rel	(hkl)
18.7	4.750	18	0 0 2
26.1	3.418	100	1 0 2
31.5	2.843	62	1 1 0
36.8	2.439	20	1 1 2
41.3	2.186	30	2 0 2
50.0	1.823	48	1 1 4
52.8	1.733	29	2 1 2
56.0	1.641	19	3 0 0
69.6	1.350	13	3 0 4
78.4	1.220	13	4 -2 4

---

Entry 2:
Starting from DFT lattice parameters and positions (GGA-PBE), the X-ray powder pattern of UTlTe3 was calculated for Cu Kα (λ = 1.5418 Å).
Lines closer than 0.1° are merged.

Lattice parameters (Å, degrees): 7.7976 7.7976 21.9511 90.00 90.00 120.00
Space group R32 (No. 155, hexagonal axes)
Symmetry-distinct sites (fractional):
U 0.0000 0.0000 0.1654 x6
Tl 0.0000 0.0000 0.3771 x6
Te 0.0006 0.4981 0.4103 x18

Largest 10 diffraction maxima, by angle, 2θ from 10° to 80°:
2theta	d/Å	I_rel	(hkl)
15.4	5.751	44	0 1 2
20.9	4.259	49	1 0 4
22.8	3.899	63	1 1 0
26.7	3.337	57	0 2 1
31.1	2.876	100	0 2 4
33.5	2.676	99	2 0 5
33.6	2.668	58	1 1 6
43.8	2.068	30	1 1 9
46.6	1.949	68	2 2 0
47.5	1.916	34	0 1 11

---

Entry 3:
Starting from DFT lattice parameters and positions (GGA-PBE), the X-ray powder pattern of Li6CuAu was calculated for Cu Kα (λ = 1.5418 Å).
Lines closer than 0.1° are merged.

Lattice parameters (Å, degrees): 5.6708 5.6708 4.5088 90.00 90.00 120.00
Space group P-6m2 (No. 187)
Symmetry-distinct sites (fractional):
Li 0.0149 0.5075 0.0000 x3
Li 0.3190 0.1595 0.5000 x3
Cu 0.0000 0.0000 0.0000 x1
Au 0.3333 0.6667 0.5000 x1

Largest 10 diffraction maxima, by angle, 2θ from 10° to 80°:
2theta	d/Å	I_rel	(hkl)
18.1	4.911	69	1 0 0
26.8	3.321	100	1 0 1
31.6	2.835	41	1 1 0
36.6	2.456	15	2 0 0
37.5	2.400	13	1 1 1
41.9	2.156	41	2 0 1
44.2	2.049	15	1 0 2
51.8	1.765	21	1 1 2
53.4	1.716	31	2 1 1
72.5	1.304	12	3 1 1